Starting from a DFT-relaxed cell (GGA-PBE, Alexandria), the XRD peak list of Tb8Er4Tm3 was calculated for Cu Kα (λ = 1.5418 Å).
No peak broadening, texture or thermal motion is included.

Crystal structure
Cell lengths 12.3162, 12.3162, 12.3162 Å; angles 32.39, 32.39, 32.39 degrees
Sites, in units of the cell vectors:
1 Tb 0.2448 0.2448 0.2448
2 Tb 0.2477 0.7503 0.7503
3 Tb 0.2497 0.2497 0.7523
4 Tb 0.2497 0.7523 0.2497
5 Tb 0.7503 0.2477 0.7503
6 Tb 0.7503 0.7503 0.2477
7 Tb 0.7523 0.2497 0.2497
8 Tb 0.7552 0.7552 0.7552
9 Er 0.0000 0.0000 0.0000
10 Er 0.3361 0.3361 0.3361
11 Er 0.5000 0.5000 0.5000
12 Er 0.6639 0.6639 0.6639
13 Tm 0.0000 0.0000 0.5000
14 Tm 0.0000 0.5000 0.0000
15 Tm 0.5000 0.0000 0.0000

The 10 most intense peaks (2θ from 10° to 90°), most intense first:
31.77 deg, I = 100; 36.53 deg, I = 73; 30.67 deg, I = 58; 62.79 deg, I = 45; 53.34 deg, I = 38; 30.17 deg, I = 29; 51.90 deg, I = 23; 27.06 deg, I = 18; 87.85 deg, I = 17; 61.50 deg, I = 16


Starting from a DFT-relaxed cell (GGA-PBE, Alexandria), the XRD peak list of Tb2ErTm was calculated for Cu Kα (λ = 1.5418 Å).
No peak broadening, texture or thermal motion is included.

Crystal structure
Cell lengths 5.5858, 7.2056, 6.2318 Å; angles 90.00, 90.00, 90.00 degrees
Sites, in units of the cell vectors:
1 Tb 0.2500 0.0001 0.1679
2 Tb 0.2500 0.4999 0.1679
3 Tb 0.7500 0.9999 0.8321
4 Tb 0.7500 0.5001 0.8321
5 Er 0.2500 0.2500 0.6653
6 Er 0.7500 0.7500 0.3347
7 Tm 0.2500 0.7500 0.6658
8 Tm 0.7500 0.2500 0.3342

The 10 most intense peaks (2θ from 10° to 90°), most intense first:
32.90 deg, I = 100; 28.63 deg, I = 24; 32.05 deg, I = 24; 61.26 deg, I = 23; 57.66 deg, I = 20; 50.71 deg, I = 20; 61.78 deg, I = 16; 43.50 deg, I = 15; 83.89 deg, I = 9; 88.64 deg, I = 8


Starting from a DFT-relaxed cell (GGA-PBE, Alexandria), the XRD peak list of Tb5Er5Tm was calculated for Cu Kα (λ = 1.5418 Å).
No peak broadening, texture or thermal motion is included.

Crystal structure
Cell lengths 6.8165, 6.8827, 8.2699 Å; angles 75.73, 76.59, 71.93 degrees
Sites, in units of the cell vectors:
1 Tb 0.0000 0.0000 0.0000
2 Tb 0.1548 0.1354 0.3586
3 Tb 0.3232 0.2743 0.6524
4 Tb 0.6768 0.7257 0.3476
5 Tb 0.8452 0.8646 0.6414
6 Er 0.2110 0.6406 0.3069
7 Er 0.3527 0.7505 0.7229
8 Er 0.5000 0.0000 0.0000
9 Er 0.6473 0.2495 0.2771
10 Er 0.7890 0.3594 0.6931
11 Tm 0.0000 0.5000 0.0000

The 10 most intense peaks (2θ from 10° to 90°), most intense first:
31.97 deg, I = 100; 32.33 deg, I = 47; 32.96 deg, I = 46; 32.43 deg, I = 45; 34.05 deg, I = 37; 32.64 deg, I = 16; 34.45 deg, I = 14; 56.85 deg, I = 14; 45.08 deg, I = 14; 48.70 deg, I = 13


Starting from a DFT-relaxed cell (GGA-PBE, Alexandria), the XRD peak list of Tb2ErTm12 was calculated for Cu Kα (λ = 1.5418 Å).
No peak broadening, texture or thermal motion is included.

Crystal structure
Cell lengths 3.5216, 5.4911, 23.8601 Å; angles 96.53, 94.15, 90.01 degrees
Sites, in units of the cell vectors:
1 Tb 0.1368 0.1361 0.2766
2 Tb 0.8632 0.8639 0.7234
3 Er 0.0000 0.0000 0.0000
4 Tm 0.0932 0.5934 0.1897
5 Tm 0.2256 0.7257 0.4570
6 Tm 0.3016 0.8016 0.5974
7 Tm 0.3410 0.3408 0.6767
8 Tm 0.4293 0.9299 0.8579
9 Tm 0.4689 0.4678 0.9345
10 Tm 0.5311 0.5322 0.0655
11 Tm 0.5707 0.0701 0.1421
12 Tm 0.6590 0.6592 0.3233
13 Tm 0.6984 0.1984 0.4026
14 Tm 0.7744 0.2743 0.5430
15 Tm 0.9068 0.4066 0.8103

The 10 most intense peaks (2θ from 10° to 90°), most intense first:
32.76 deg, I = 100; 32.26 deg, I = 88; 32.61 deg, I = 58; 62.70 deg, I = 34; 30.56 deg, I = 32; 35.75 deg, I = 28; 45.30 deg, I = 22; 58.29 deg, I = 19; 57.98 deg, I = 17; 33.83 deg, I = 16


Starting from a DFT-relaxed cell (GGA-PBE, Alexandria), the XRD peak list of Tb5Er5Tm2 was calculated for Cu Kα (λ = 1.5418 Å).
No peak broadening, texture or thermal motion is included.

Crystal structure
Cell lengths 7.8614, 7.8614, 11.1344 Å; angles 115.08, 115.08, 36.86 degrees
Sites, in units of the cell vectors:
1 Tb 0.0000 0.0000 0.0000
2 Tb 0.0832 0.0832 0.7501
3 Tb 0.1663 0.1663 0.4997
4 Tb 0.8337 0.8337 0.5003
5 Tb 0.9168 0.9168 0.2499
6 Er 0.2493 0.2493 0.2491
7 Er 0.3330 0.3330 0.9996
8 Er 0.5000 0.5000 0.5000
9 Er 0.6670 0.6670 0.0004
10 Er 0.7507 0.7507 0.7509
11 Tm 0.4165 0.4165 0.7502
12 Tm 0.5835 0.5835 0.2498

The 10 most intense peaks (2θ from 10° to 90°), most intense first:
31.14 deg, I = 100; 36.11 deg, I = 51; 52.00 deg, I = 36; 61.84 deg, I = 28; 84.98 deg, I = 15; 61.90 deg, I = 14; 64.94 deg, I = 12; 87.80 deg, I = 11; 87.65 deg, I = 6; 76.68 deg, I = 4


Starting from a DFT-relaxed cell (GGA-PBE, Alexandria), the XRD peak list of Tb3Er2Tm4 was calculated for Cu Kα (λ = 1.5418 Å).
No peak broadening, texture or thermal motion is included.

Crystal structure
Cell lengths 9.8873, 9.8873, 6.0161 Å; angles 95.20, 95.20, 70.50 degrees
Sites, in units of the cell vectors:
1 Tb 0.0979 0.9021 0.7500
2 Tb 0.2358 0.4315 0.9146
3 Tb 0.4315 0.2358 0.4146
4 Tb 0.5685 0.7642 0.5854
5 Tb 0.7642 0.5685 0.0854
6 Tb 0.9021 0.0979 0.2500
7 Er 0.0192 0.7395 0.1810
8 Er 0.2605 0.9808 0.3190
9 Er 0.7395 0.0192 0.6810
10 Er 0.9808 0.2605 0.8190
11 Tm 0.0742 0.3535 0.3479
12 Tm 0.3137 0.5933 0.4851
13 Tm 0.3535 0.0742 0.8479
14 Tm 0.4067 0.6863 0.0149
15 Tm 0.5933 0.3137 0.9851
16 Tm 0.6465 0.9258 0.1521
17 Tm 0.6863 0.4067 0.5149
18 Tm 0.9258 0.6465 0.6521

The 10 most intense peaks (2θ from 10° to 90°), most intense first:
32.28 deg, I = 100; 30.82 deg, I = 62; 31.13 deg, I = 61; 31.35 deg, I = 48; 38.21 deg, I = 33; 38.46 deg, I = 28; 56.80 deg, I = 25; 51.29 deg, I = 14; 56.39 deg, I = 14; 28.80 deg, I = 13


Starting from a DFT-relaxed cell (GGA-PBE, Alexandria), the XRD peak list of Tb4Er3Tm2 was calculated for Cu Kα (λ = 1.5418 Å).
No peak broadening, texture or thermal motion is included.

Crystal structure
Cell lengths 9.9474, 9.9474, 6.9859 Å; angles 100.41, 100.41, 56.84 degrees
Sites, in units of the cell vectors:
1 Tb 0.1551 0.5094 0.4142
2 Tb 0.1703 0.8245 0.9985
3 Tb 0.1755 0.8297 0.5015
4 Tb 0.4906 0.8449 0.0858
5 Tb 0.5094 0.1551 0.9142
6 Tb 0.8245 0.1703 0.4985
7 Tb 0.8297 0.1755 0.0015
8 Tb 0.8449 0.4906 0.5858
9 Er 0.1482 0.1494 0.3275
10 Er 0.1494 0.1482 0.8275
11 Er 0.5003 0.4997 0.2500
12 Er 0.4997 0.5003 0.7500
13 Er 0.8506 0.8518 0.1725
14 Er 0.8518 0.8506 0.6725
15 Tm 0.1537 0.5025 0.9121
16 Tm 0.4975 0.8463 0.5879
17 Tm 0.5025 0.1537 0.4121
18 Tm 0.8463 0.4975 0.0879

The 10 most intense peaks (2θ from 10° to 90°), most intense first:
32.41 deg, I = 100; 32.27 deg, I = 52; 31.34 deg, I = 51; 34.37 deg, I = 22; 29.24 deg, I = 22; 34.56 deg, I = 20; 29.12 deg, I = 20; 56.47 deg, I = 17; 63.06 deg, I = 15; 62.88 deg, I = 15


Starting from a DFT-relaxed cell (GGA-PBE, Alexandria), the XRD peak list of Tb7ErTm3 was calculated for Cu Kα (λ = 1.5418 Å).
No peak broadening, texture or thermal motion is included.

Crystal structure
Cell lengths 6.9391, 5.4953, 9.8294 Å; angles 90.00, 110.56, 90.00 degrees
Sites, in units of the cell vectors:
1 Tb 0.0000 0.0000 0.0000
2 Tb 0.1456 0.5000 0.2916
3 Tb 0.3215 0.5000 0.6412
4 Tb 0.4160 0.0000 0.8304
5 Tb 0.5840 0.0000 0.1696
6 Tb 0.6785 0.5000 0.3588
7 Tb 0.8544 0.5000 0.7084
8 Er 0.0000 0.0000 0.5000
9 Tm 0.2793 0.5000 0.9999
10 Tm 0.5000 0.0000 0.5000
11 Tm 0.7207 0.5000 0.0001

The 10 most intense peaks (2θ from 10° to 90°), most intense first:
32.01 deg, I = 100; 33.45 deg, I = 36; 32.59 deg, I = 35; 32.31 deg, I = 22; 57.78 deg, I = 20; 46.55 deg, I = 16; 63.41 deg, I = 12; 58.71 deg, I = 12; 52.77 deg, I = 11; 25.25 deg, I = 8